[1]
Theoretical XRD peak list of LaNd4Er for Cu Kα X-rays, from a structure optimized by DFT (GGA-PBE).

The 6 most intense peaks (2θ from 5° to 70°), low angle first:
- 2θ 29.83, I = 1000
- 2θ 34.40, I = 172
- 2θ 34.53, I = 170
- 2θ 34.82, I = 166
- 2θ 49.80, I = 241
- 2θ 58.82, I = 146

Cell and atoms:
a b c (Å): 8.242 8.242 5.153
angles (deg): 90.00 90.00 143.26
Positions (direct):
La: 0.000 0.000 0.000
Nd: 0.166 0.834 0.500
Nd: 0.334 0.666 0.000
Nd: 0.666 0.334 0.000
Nd: 0.834 0.166 0.500
Er: 0.500 0.500 0.500


[2]
Theoretical XRD peak list of LaHg2Mo for Cu Kα X-rays, from a structure optimized by DFT (GGA-PBE).

The 6 most intense peaks (2θ from 5° to 70°), low angle first:
- 2θ 34.40, I = 1000
- 2θ 38.61, I = 183
- 2θ 40.57, I = 318
- 2θ 57.25, I = 233
- 2θ 67.18, I = 145
- 2θ 69.86, I = 258

Cell and atoms:
a b c (Å): 4.447 4.447 4.664
angles (deg): 90.00 90.00 90.00
Positions (direct):
La: 0.000 0.000 0.000
Hg: 0.000 0.500 0.500
Hg: 0.500 0.000 0.500
Mo: 0.500 0.500 0.000


[3]
Theoretical XRD peak list of Tl3OsO6 for Cu Kα X-rays, from a structure optimized by DFT (GGA-PBE).

The 6 most intense peaks (2θ from 5° to 70°), low angle first:
- 2θ 22.00, I = 659
- 2θ 28.44, I = 527
- 2θ 31.53, I = 1000
- 2θ 32.83, I = 307
- 2θ 36.05, I = 257
- 2θ 39.15, I = 603

Cell and atoms:
a b c (Å): 6.914 6.914 6.914
angles (deg): 92.22 92.22 92.22
Positions (direct):
Tl: 0.155 0.155 0.538
Tl: 0.155 0.538 0.155
Tl: 0.462 0.845 0.845
Tl: 0.538 0.155 0.155
Tl: 0.845 0.462 0.845
Tl: 0.845 0.845 0.462
Os: 0.000 0.000 0.000
Os: 0.500 0.500 0.500
O: 0.086 0.815 0.815
O: 0.185 0.185 0.914
O: 0.185 0.914 0.185
O: 0.224 0.492 0.492
O: 0.492 0.224 0.492
O: 0.492 0.492 0.224
O: 0.508 0.508 0.776
O: 0.508 0.776 0.508
O: 0.776 0.508 0.508
O: 0.815 0.086 0.815
O: 0.815 0.815 0.086
O: 0.914 0.185 0.185